BiWO4F: computed XRD peak list (CuKα), based on a crystal structure in Alexandria, relaxed with PBE+U.

Most intense lines, 2θ = 5–70°, by intensity:
| 2theta | I (rel.) |
| --- | --- |
| 23.5 | 100 |
| 27.0 | 91 |
| 26.0 | 54 |
| 18.9 | 53 |
| 29.8 | 46 |
| 35.3 | 35 |
| 19.2 | 31 |
| 43.5 | 30 |
| 44.6 | 29 |
| 12.7 | 24 |

```
BiWO4F
1.0
4.942 -3.787 0.000
4.942 3.787 0.000
-2.315 0.000 6.977
Bi W O F
2 2 8 2
Direct
0.201 0.201 0.136 Bi
0.799 0.799 0.864 Bi
0.348 0.348 0.712 W
0.652 0.652 0.288 W
0.113 0.496 0.834 O
0.247 0.247 0.458 O
0.464 0.464 0.255 O
0.496 0.113 0.834 O
0.504 0.887 0.166 O
0.536 0.536 0.745 O
0.753 0.753 0.542 O
0.887 0.504 0.166 O
0.016 0.016 0.831 F
0.984 0.984 0.169 F
```